Theoretical powder XRD pattern of Ce2TmSn3 for CuKα, from a crystal structure in Alexandria, relaxed with GGA-PBE.
No peak broadening, texture or thermal motion is included.

Crystal structure
a = 9.0896 Å, b = 9.0896 Å, c = 3.2703 Å
α = 90.00°, β = 90.00°, γ = 142.86°
Sites, in units of the cell vectors:
1 Ce 0.1662 0.8338 0.0000
2 Ce 0.8338 0.1662 0.0000
3 Tm 0.5000 0.5000 0.0000
4 Sn 0.0000 0.0000 0.5000
5 Sn 0.3369 0.6631 0.5000
6 Sn 0.6631 0.3369 0.5000

Top 12 peaks for 10 to 80 degrees two-theta, low angle first:
two_theta, I/Imax
30.9, 353
31.1, 343
35.2, 1000
44.4, 261
56.3, 66
57.7, 244
58.0, 237
65.6, 84
65.7, 83
73.2, 62
74.4, 117
75.8, 111